Entry 1:
The following is a calculated powder XRD pattern of LuAl2Pd5. It was derived from a GGA-PBE-relaxed structure, using Cu Kα X-rays.
Peak positions follow from Bragg's law for the DFT cell and can differ from measured ones.

Atomic structure:
Cell: 4.114 4.114 14.939 Å, 90.00 90.00 90.00°
Space group I4/mmm (No. 139)
Asymmetric unit:
Lu 0.000 0.000 0.000 [2 per cell]
Al 0.000 0.000 0.253 [4 per cell]
Pd 0.000 0.000 0.500 [2 per cell]
Pd 0.000 0.500 0.143 [8 per cell]

Most intense lines, 10° ≤ 2θ ≤ 90°, sorted by position:
(hkl)  Position (°2θ)  intensity
0 0 2  11.85  135
1 1 2  33.05  315
0 0 6  36.07  147
1 1 4  39.26  1000
2 0 0  44.03  403
2 0 6  58.18  145
2 2 0  64.02  130
2 0 8  67.78  138
1 1 10  70.92  123
3 1 4  77.74  264



Entry 2:
The following is a calculated powder XRD pattern of LuAlPd. It was derived from a GGA-PBE-relaxed structure, using Cu Kα X-rays.
Peak positions follow from Bragg's law for the DFT cell and can differ from measured ones.

Atomic structure:
Cell: 7.0401 7.0401 4.0226 Å, 90.00 90.00 120.00°
Space group P-62m (No. 189)
Asymmetric unit:
Lu 0.0000 0.5867 0.0000 [3 per cell]
Al 0.0000 0.2407 0.5000 [3 per cell]
Pd 0.0000 0.0000 0.0000 [1 per cell]
Pd 0.3333 0.6667 0.5000 [2 per cell]

Most intense lines, 10° ≤ 2θ ≤ 90°, sorted by position:
(hkl)  Position (°2θ)  intensity
1 1 0  25.30  348
2 0 0  29.30  261
1 1 1  33.84  910
2 0 1  37.00  1000
2 1 0  39.09  242
3 0 0  44.58  256
0 0 2  45.08  245
2 1 1  45.36  231
3 1 1  59.28  265
3 2 1  71.40  217



Entry 3:
The following is a calculated powder XRD pattern of PmLuAl2. It was derived from a GGA-PBE-relaxed structure, using Cu Kα X-rays.
Peak positions follow from Bragg's law for the DFT cell and can differ from measured ones.

Atomic structure:
Cell: 7.205 7.205 7.205 Å, 90.00 90.00 90.00°
Space group Fm-3m (No. 225)
Asymmetric unit:
Pm 0.000 0.000 0.000 [4 per cell]
Lu 0.000 0.000 0.500 [4 per cell]
Al 0.250 0.250 0.250 [8 per cell]

Most intense lines, 10° ≤ 2θ ≤ 90°, sorted by position:
(hkl)  Position (°2θ)  intensity
1 1 1  21.36  11
2 0 0  24.71  621
2 2 0  35.23  1000
2 2 2  43.51  189
4 0 0  50.68  178
4 2 0  57.18  255
4 2 2  63.23  367
4 4 0  74.50  114
6 0 0  79.88  122
6 2 0  85.18  163



Entry 4:
The following is a calculated powder XRD pattern of Lu2AlRu. It was derived from a GGA-PBE-relaxed structure, using Cu Kα X-rays.
Peak positions follow from Bragg's law for the DFT cell and can differ from measured ones.

Atomic structure:
Cell: 6.863 6.863 6.863 Å, 90.00 90.00 90.00°
Space group Fm-3m (No. 225)
Asymmetric unit:
Lu 0.250 0.250 0.250 [8 per cell]
Al 0.000 0.000 0.000 [4 per cell]
Ru 0.000 0.000 0.500 [4 per cell]

Most intense lines, 10° ≤ 2θ ≤ 90°, sorted by position:
(hkl)  Position (°2θ)  intensity
1 1 1  22.44  62
2 0 0  25.97  253
2 2 0  37.05  1000
3 1 1  43.75  32
2 2 2  45.80  77
4 0 0  53.40  175
4 2 0  60.31  104
4 2 2  66.77  357
4 4 0  78.90  112
6 0 0  84.75  52



Entry 5:
The following is a calculated powder XRD pattern of LuAlSi. It was derived from a GGA-PBE-relaxed structure, using Cu Kα X-rays.
Peak positions follow from Bragg's law for the DFT cell and can differ from measured ones.

Atomic structure:
Cell: 3.981 10.072 5.612 Å, 90.00 90.00 90.00°
Space group Cmcm (No. 63)
Asymmetric unit:
Lu 0.000 0.195 0.250 [4 per cell]
Al 0.000 0.500 0.000 [4 per cell]
Si 0.000 0.102 0.750 [4 per cell]

Most intense lines, 10° ≤ 2θ ≤ 90°, sorted by position:
(hkl)  Position (°2θ)  intensity
0 2 0  17.61  350
0 2 1  23.74  261
1 1 1  28.89  1000
0 0 2  31.89  281
1 3 0  34.96  504
0 2 2  36.66  292
1 3 1  38.57  284
0 4 1  39.21  365
1 1 2  40.33  230
1 5 2  61.27  239



Entry 6:
The following is a calculated powder XRD pattern of Lu2AlTc. It was derived from a GGA-PBE-relaxed structure, using Cu Kα X-rays.
Peak positions follow from Bragg's law for the DFT cell and can differ from measured ones.

Atomic structure:
Cell: 6.890 6.890 6.890 Å, 90.00 90.00 90.00°
Space group Fm-3m (No. 225)
Asymmetric unit:
Lu 0.250 0.250 0.250 [8 per cell]
Al 0.000 0.000 0.000 [4 per cell]
Tc 0.000 0.000 0.500 [4 per cell]

Most intense lines, 10° ≤ 2θ ≤ 90°, sorted by position:
(hkl)  Position (°2θ)  intensity
1 1 1  22.35  59
2 0 0  25.86  262
2 2 0  36.90  1000
3 1 1  43.57  30
2 2 2  45.61  80
4 0 0  53.18  175
4 2 0  60.06  108
4 2 2  66.49  357
4 4 0  78.54  112
6 0 0  84.35  54